LiZrAuSe2S: calculated XRD peak list (λ = 1.5418 Å (Cu Kα)), based on the GGA-PBE geometry in OQMD.
Lines closer than 0.1° are merged.

Top 10 peaks for 2θ = 10–90°, low angle first:
- 13.54 deg, 6.539 Å, rel. 100
- 16.11 deg, 5.502 Å, rel. 34
- 24.36 deg, 3.654 Å, rel. 27
- 30.11 deg, 2.968 Å, rel. 34
- 32.44 deg, 2.760 Å, rel. 42
- 35.27 deg, 2.545 Å, rel. 35
- 35.95 deg, 2.498 Å, rel. 94
- 37.94 deg, 2.372 Å, rel. 19
- 47.80 deg, 1.903 Å, rel. 21
- 50.14 deg, 1.820 Å, rel. 28

Atomic structure:
```
LiZrAuSe2S
1.0
1.9028 -6.5392 0.0000
1.9028 6.5392 0.0000
0.0000 0.0000 10.1799
Li Zr Au Se S
2 2 2 4 2
direct
0.2455 0.7545 0.7500
0.7545 0.2455 0.2500
0.5000 0.5000 0.0000
0.5000 0.5000 0.5000
0.0467 0.9533 0.2500
0.9533 0.0467 0.7500
0.1467 0.8533 0.0382
0.1467 0.8533 0.4618
0.8533 0.1467 0.5382
0.8533 0.1467 0.9618
0.4125 0.5875 0.2500
0.5875 0.4125 0.7500
```